CdSiN2: calculated X-ray powder pattern (CuKα), based on the GGA-PBE geometry in the Materials Project.

Crystal structure
```
data_CdSiN2
_chemical_formula_sum 'Cd4 Si4 N8'
_cell_length_a 5.4333
_cell_length_b 6.7660
_cell_length_c 5.3027
_cell_angle_alpha 90.00
_cell_angle_beta 90.00
_cell_angle_gamma 90.00
_space_group_name_H-M_alt 'P n a 21'
_space_group_IT_number 33
_space_group_name_Hall 'P 2c -2n'
loop_
_atom_site_label
_atom_site_fract_x
_atom_site_fract_y
_atom_site_fract_z
_atom_site_occupancy
Cd1 0.0768 0.1241 0.0000 1
Si1 0.0624 0.6248 0.0028 1
N1 0.0372 0.5797 0.3288 1
N2 0.1254 0.1701 0.4271 1
```

The 6 most intense peaks (2θ = 15–90°), most intense first:
| hkl | d (Å) | Position (°2θ) | I_rel |
| --- | --- | --- | --- |
| 1 2 1 | 2.525 | 35.6 | 100 |
| 0 0 2 | 2.651 | 33.8 | 40 |
| 0 1 1 | 4.174 | 21.3 | 31 |
| 2 0 1 | 2.418 | 37.2 | 29 |
| 1 2 0 | 2.872 | 31.1 | 26 |
| 1 1 0 | 4.236 | 21.0 | 25 |